This entry pairs a crystal structure of Er2GaPt5 with its calculated X-ray diffraction stick pattern. Radiation: copper Kα. Structure: DFT lattice parameters and positions (PBE).
Peak positions follow from Bragg's law for the DFT cell and can differ from measured ones.

Structure:
```
Er2GaPt5
1.0
5.801 0.000 0.000
0.000 11.617 0.000
0.000 0.000 4.156
Er Ga Pt
4 2 10
Direct
0.201 0.138 0.000
0.299 0.638 0.000
0.701 0.362 0.000
0.799 0.862 0.000
0.000 0.500 0.500
0.500 0.000 0.500
0.000 0.000 0.500
0.047 0.748 0.500
0.203 0.390 0.000
0.297 0.890 0.000
0.453 0.248 0.500
0.500 0.500 0.500
0.547 0.752 0.500
0.703 0.110 0.000
0.797 0.610 0.000
0.953 0.252 0.500
```

Principal peaks in the range 2θ from 10° to 80°, in order of rising 2θ:
| 2θ/deg | I_rel | index |
| --- | --- | --- |
| 37.8 | 100 | 0 4 1 |
| 38.6 | 15 | 2 1 1 |
| 38.8 | 7 | 2 3 0 |
| 43.6 | 20 | 0 0 2 |
| 44.1 | 27 | 2 4 0 |
| 59.7 | 4 | 2 3 2 |
| 63.7 | 18 | 2 4 2 |
| 64.2 | 6 | 0 8 0 |
| 64.8 | 5 | 4 1 0 |
| 73.3 | 6 | 4 3 1 |
| 76.1 | 13 | 0 4 3 |
| 76.9 | 12 | 2 8 1 |